Entry 1:
Diffraction record for BaPd2Au5. The X-ray powder pattern is calculated, not measured: it uses a DFT-relaxed cell (GGA-PBE, Alexandria) and λ = 1.5418 Å (Cu Kα).
Intensities are scaled so that the largest is 100.

Peak list (8 most intense, 10° ≤ 2θ ≤ 90°, low angle first)
14.16°, intensity 32, (0 1 1)
31.91°, intensity 61, (1 2 1)
34.09°, intensity 100, (1 0 3)
39.81°, intensity 54, (1 3 0)
42.32°, intensity 36, (2 0 0)
42.59°, intensity 33, (0 2 4)
43.40°, intensity 51, (0 3 3)
61.60°, intensity 22, (2 2 4)

Structural model:
Unit cell a=4.2717 b=8.0110 c=10.0112 alpha=90.00 beta=90.00 gamma=90.00
Space group Immm (No. 71)
Inequivalent atoms, fractional coordinates:
Ba 0.0000 0.0000 0.0000 x2
Pd 0.0000 0.5000 0.2694 x4
Au 0.0000 0.1787 0.3487 x8
Au 0.0000 0.5000 0.0000 x2



Entry 2:
Diffraction record for Mn4PdPt6. The X-ray powder pattern is calculated, not measured: it uses a DFT-relaxed cell (GGA-PBE, Alexandria) and λ = 1.5418 Å (Cu Kα).
Intensities are scaled so that the largest is 100.

Peak list (8 most intense, 10° ≤ 2θ ≤ 90°, low angle first)
24.57°, intensity 75, (0 4 0)
33.94°, intensity 47, (2 2 1)
37.22°, intensity 52, (4 0 0)
37.58°, intensity 47, (0 0 2)
39.78°, intensity 81, (4 0 -2)
42.41°, intensity 100, (2 6 -1)
45.11°, intensity 76, (4 4 0)
45.41°, intensity 74, (0 4 2)

Structural model:
Unit cell a=10.7417 b=14.4921 c=5.3223 alpha=90.00 beta=115.91 gamma=90.00
Space group C2/c (No. 15)
Inequivalent atoms, fractional coordinates:
Mn 0.1213 0.1313 0.0200 x8
Mn 0.1253 0.3708 0.4965 x8
Pd 0.0000 0.2810 0.7500 x4
Pt 0.0000 0.0200 0.2500 x4
Pt 0.0000 0.4755 0.7500 x4
Pt 0.2493 0.2202 0.7468 x8
Pt 0.2497 0.0261 0.7558 x8



Entry 3:
Diffraction record for ZrAg2B2O6. The X-ray powder pattern is calculated, not measured: it uses a DFT-relaxed cell (GGA-PBE, Alexandria) and λ = 1.5418 Å (Cu Kα).
Intensities are scaled so that the largest is 100.

Peak list (8 most intense, 10° ≤ 2θ ≤ 90°, low angle first)
20.35°, intensity 50, (1 1 0)
26.95°, intensity 19, (2 0 -2)
31.87°, intensity 100, (1 1 -2)
33.65°, intensity 31, (0 2 0)
34.04°, intensity 54, (3 1 -1)
35.06°, intensity 29, (2 0 1)
43.62°, intensity 28, (2 2 -2)
49.38°, intensity 25, (2 2 1)

Structural model:
Unit cell a=9.1628 b=5.3276 c=6.7744 alpha=90.00 beta=123.85 gamma=90.00
Space group C2/m (No. 12)
Inequivalent atoms, fractional coordinates:
Zr 0.0000 0.0000 0.0000 x2
Ag 0.1873 0.0000 0.6215 x4
B 0.0645 0.5000 0.7795 x4
O 0.0221 0.2768 0.2415 x8
O 0.2271 0.5000 0.8171 x4



Entry 4:
Diffraction record for TaBe17Os. The X-ray powder pattern is calculated, not measured: it uses a DFT-relaxed cell (GGA-PBE, Alexandria) and λ = 1.5418 Å (Cu Kα).
Intensities are scaled so that the largest is 100.

Peak list (8 most intense, 10° ≤ 2θ ≤ 90°, low angle first)
16.33°, intensity 68, (1 0 1)
21.88°, intensity 28, (0 1 2)
24.40°, intensity 100, (1 1 0)
25.19°, intensity 31, (0 0 3)
35.36°, intensity 88, (1 1 3)
42.94°, intensity 30, (3 0 0)
50.44°, intensity 42, (0 3 3)
73.76°, intensity 22, (4 1 3)

Structural model:
Unit cell a=7.2959 b=7.2959 c=10.6053 alpha=90.00 beta=90.00 gamma=120.00
Space group R3m (No. 160, hexagonal axes)
Inequivalent atoms, fractional coordinates:
Ta 0.0000 0.0000 0.0000 x3
Be 0.0000 0.0000 0.5563 x3
Be 0.0000 0.0000 0.7572 x3
Be 0.0356 0.3627 0.3269 x18
Be 0.1690 0.3380 0.1436 x9
Be 0.1719 0.3438 0.4966 x9
Be 0.1736 0.3472 0.8391 x9
Os 0.0000 0.0000 0.3249 x3



Entry 5:
Diffraction record for YZrTcAu. The X-ray powder pattern is calculated, not measured: it uses a DFT-relaxed cell (GGA-PBE, Alexandria) and λ = 1.5418 Å (Cu Kα).
Intensities are scaled so that the largest is 100.

Peak list (8 most intense, 10° ≤ 2θ ≤ 90°, low angle first)
22.41°, intensity 9, (1 1 1)
25.94°, intensity 7, (2 0 0)
37.01°, intensity 100, (2 2 0)
43.70°, intensity 5, (3 1 1)
53.34°, intensity 17, (4 0 0)
60.24°, intensity 3, (4 2 0)
66.69°, intensity 35, (4 2 2)
78.80°, intensity 11, (4 4 0)

Structural model:
Unit cell a=6.8704 b=6.8704 c=6.8704 alpha=90.00 beta=90.00 gamma=90.00
Space group F-43m (No. 216)
Inequivalent atoms, fractional coordinates:
Y 0.0000 0.0000 0.0000 x4
Zr 0.0000 0.0000 0.5000 x4
Tc 0.2500 0.2500 0.2500 x4
Au 0.2500 0.2500 0.7500 x4



Entry 6:
Diffraction record for Pm2Nd6Rh. The X-ray powder pattern is calculated, not measured: it uses a DFT-relaxed cell (GGA-PBE, Alexandria) and λ = 1.5418 Å (Cu Kα).
Intensities are scaled so that the largest is 100.

Peak list (8 most intense, 10° ≤ 2θ ≤ 90°, low angle first)
10.65°, intensity 22, (1 1 0)
26.25°, intensity 24, (1 1 1)
28.95°, intensity 18, (3 1 0)
29.90°, intensity 42, (1 3 1)
30.10°, intensity 59, (0 6 0)
32.31°, intensity 100, (3 3 0)
36.84°, intensity 34, (2 4 1)
40.61°, intensity 20, (3 3 1)

Structural model:
Unit cell a=9.3938 b=17.8117 c=3.7202 alpha=90.00 beta=90.00 gamma=90.00
Space group Cmmm (No. 65)
Inequivalent atoms, fractional coordinates:
Pm 0.0000 0.1711 0.0000 x4
Nd 0.1669 0.3322 0.5000 x8
Nd 0.2208 0.5000 0.0000 x4
Rh 0.0000 0.5000 0.5000 x2



Entry 7:
Diffraction record for LiBeRu. The X-ray powder pattern is calculated, not measured: it uses a DFT-relaxed cell (GGA-PBE, Alexandria) and λ = 1.5418 Å (Cu Kα).
Intensities are scaled so that the largest is 100.

Peak list (8 most intense, 10° ≤ 2θ ≤ 90°, low angle first)
15.44°, intensity 100, (0 0 1)
20.34°, intensity 17, (2 0 -1)
27.65°, intensity 34, (2 0 -2)
33.47°, intensity 28, (1 1 0)
39.65°, intensity 36, (1 1 1)
41.75°, intensity 24, (4 0 -1)
44.16°, intensity 23, (3 1 -1)
46.08°, intensity 21, (3 1 -2)

Structural model:
Unit cell a=8.8534 b=2.8621 c=6.7019 alpha=90.00 beta=121.09 gamma=90.00
Space group C2/m (No. 12)
Inequivalent atoms, fractional coordinates:
Li 0.1444 0.0000 0.0525 x4
Be 0.1217 0.0000 0.6567 x4
Ru 0.1056 0.5000 0.3832 x4



Entry 8:
Diffraction record for TlHg7Pb3. The X-ray powder pattern is calculated, not measured: it uses a DFT-relaxed cell (GGA-PBE, Alexandria) and λ = 1.5418 Å (Cu Kα).
Intensities are scaled so that the largest is 100.

Peak list (8 most intense, 10° ≤ 2θ ≤ 90°, low angle first)
29.86°, intensity 23, (0 10 0)
32.07°, intensity 33, (0 8 3)
33.72°, intensity 99, (0 6 4)
33.96°, intensity 71, (1 7 0)
34.36°, intensity 100, (1 1 3)
34.72°, intensity 56, (1 7 1)
56.64°, intensity 37, (1 13 4)
65.80°, intensity 26, (2 6 4)

Structural model:
Unit cell a=3.3568 b=29.9254 c=12.5716 alpha=90.00 beta=90.00 gamma=90.00
Space group Cmcm (No. 63)
Inequivalent atoms, fractional coordinates:
Tl 0.0000 0.0922 0.2500 x4
Hg 0.0000 0.1927 0.6120 x8
Hg 0.0000 0.3324 0.5896 x8
Hg 0.0000 0.3904 0.2500 x4
Hg 0.0000 0.4944 0.6278 x8
Pb 0.0000 0.0828 0.5337 x8
Pb 0.0000 0.2329 0.2500 x4



Entry 9:
Diffraction record for Pr8Y4Th. The X-ray powder pattern is calculated, not measured: it uses a DFT-relaxed cell (GGA-PBE, Alexandria) and λ = 1.5418 Å (Cu Kα).
Intensities are scaled so that the largest is 100.

Peak list (8 most intense, 10° ≤ 2θ ≤ 90°, low angle first)
28.35°, intensity 18, (2 1 1)
30.72°, intensity 100, (1 -2 1)
31.18°, intensity 38, (1 2 -2)
31.32°, intensity 29, (2 2 1)
31.73°, intensity 16, (1 3 0)
32.20°, intensity 34, (1 0 3)
32.45°, intensity 39, (2 0 -1)
56.46°, intensity 14, (-2 2 3)

Structural model:
Unit cell a=6.4851 b=8.5422 c=8.7918 alpha=89.79 beta=82.02 gamma=72.09
Space group P1 (No. 1)
Inequivalent atoms, fractional coordinates:
Pr 0.0000 0.0000 0.0000 x1
Pr 0.0111 0.5365 0.0489 x1
Pr 0.3053 0.4384 0.6004 x1
Pr 0.3817 0.9855 0.6064 x1
Pr 0.5746 0.3666 0.1986 x1
Pr 0.6440 0.9235 0.2457 x1
Pr 0.8461 0.2878 0.7304 x1
Pr 0.9108 0.8423 0.6886 x1
Y 0.0903 0.2002 0.3298 x1
Y 0.2122 0.7532 0.3155 x1
Y 0.4341 0.1437 0.9351 x1
Y 0.4922 0.6847 0.8922 x1
Th 0.7409 0.5947 0.4672 x1



Entry 10:
Diffraction record for Cu5PdAu8. The X-ray powder pattern is calculated, not measured: it uses a DFT-relaxed cell (GGA-PBE, Alexandria) and λ = 1.5418 Å (Cu Kα).
Intensities are scaled so that the largest is 100.

Peak list (8 most intense, 10° ≤ 2θ ≤ 90°, low angle first)
28.14°, intensity 44, (2 1 1)
36.58°, intensity 97, (3 1 0)
43.60°, intensity 100, (1 2 3)
58.18°, intensity 26, (2 4 2)
60.77°, intensity 16, (3 1 4)
60.84°, intensity 12, (5 1 0)
75.47°, intensity 21, (5 2 3)
89.13°, intensity 8, (3 5 4)

Structural model:
Unit cell a=7.7629 b=7.7629 c=7.7783 alpha=90.00 beta=90.00 gamma=90.00
Space group I-4 (No. 82)
Inequivalent atoms, fractional coordinates:
Cu 0.0000 0.0000 0.0000 x2
Cu 0.1270 0.2256 0.6009 x8
Pd 0.0000 0.5000 0.2500 x2
Au 0.0695 0.3297 0.9287 x8
Au 0.0944 0.1639 0.2742 x8



Entry 11:
Diffraction record for Li2Tl2BiPb2. The X-ray powder pattern is calculated, not measured: it uses a DFT-relaxed cell (GGA-PBE, Alexandria) and λ = 1.5418 Å (Cu Kα).
Intensities are scaled so that the largest is 100.

Peak list (8 most intense, 10° ≤ 2θ ≤ 90°, low angle first)
19.86°, intensity 59, (1 0 0)
21.88°, intensity 34, (0 1 1)
27.07°, intensity 35, (0 1 2)
34.12°, intensity 100, (0 1 3)
34.76°, intensity 94, (1 1 0)
44.86°, intensity 24, (1 1 3)
49.51°, intensity 36, (2 0 3)
61.91°, intensity 37, (1 2 3)

Structural model:
Unit cell a=5.1615 b=5.1615 c=9.7434 alpha=90.00 beta=90.00 gamma=120.00
Space group P-3m1 (No. 164)
Inequivalent atoms, fractional coordinates:
Li 0.3333 0.6667 0.4341 x2
Tl 0.3333 0.6667 0.9288 x2
Bi 0.0000 0.0000 0.5000 x1
Pb 0.0000 0.0000 0.1765 x2